Structure and simulated PXRD pattern of Ho2Er3Rh2 (DFT lattice parameters and positions (GGA-PBE); a wavelength of 1.5418 Å).
Neutral-atom scattering factors, no anomalous dispersion.

Atomic structure:
```
data_Ho2Er3Rh2
_chemical_formula_sum 'Ho4 Er6 Rh4'
_symmetry_space_group_name_H-M 'C 1 2/m 1'
_symmetry_Int_Tables_number 12
_symmetry_space_group_name_Hall '-C 2y'
_cell_length_a 11.907
_cell_length_b 3.773
_cell_length_c 8.832
_cell_angle_alpha 90.00
_cell_angle_beta 116.26
_cell_angle_gamma 90.00
loop_
_atom_site_label
_atom_site_fract_x
_atom_site_fract_y
_atom_site_fract_z
_atom_site_occupancy
Ho1 0.166 0.000 0.308 1
Er1 0.000 0.500 0.500 1
Er2 0.116 0.500 0.930 1
Rh1 0.177 0.000 0.740 1
```

Top 10 peaks for 2θ from 10° to 90°, in order of rising 2θ:
(2 0 -3), 2θ = 30.4°, rel. 55; (1 1 -2), 2θ = 31.2°, rel. 79; (3 1 -1), 2θ = 32.8°, rel. 96; (2 0 2), 2θ = 33.6°, rel. 100; (3 1 0), 2θ = 34.6°, rel. 54; (3 1 -2), 2θ = 34.8°, rel. 77; (1 1 2), 2θ = 36.4°, rel. 56; (1 1 -3), 2θ = 39.4°, rel. 42; (0 2 0), 2θ = 48.2°, rel. 44; (2 2 2), 2θ = 60.1°, rel. 38